Simulated powder diffraction line list
Compound: SrNi5Bi3
Radiation: Cu Kα (weighted mean of Kα1 and Kα2)
Structure: a GGA-PBE-relaxed structure
Kinematic intensities with the Lorentz-polarization factor, no thermal factor.

Structure:
Unit cell a=6.9482 b=6.9482 c=12.8843 alpha=90.00 beta=90.00 gamma=144.91
Atoms (fractional coordinates):
Sr 0.1898 0.8102 0.7500
Sr 0.8102 0.1898 0.2500
Ni 0.0000 0.0000 0.0000
Ni 0.0000 0.0000 0.5000
Ni 0.1767 0.8233 0.0718
Ni 0.1767 0.8233 0.4282
Ni 0.4560 0.5440 0.6407
Ni 0.4560 0.5440 0.8593
Ni 0.5440 0.4560 0.1407
Ni 0.5440 0.4560 0.3593
Ni 0.8233 0.1767 0.5718
Ni 0.8233 0.1767 0.9282
Bi 0.0893 0.9107 0.2500
Bi 0.3695 0.6305 0.0451
Bi 0.3695 0.6305 0.4549
Bi 0.6305 0.3695 0.5451
Bi 0.6305 0.3695 0.9549
Bi 0.9107 0.0893 0.7500

Principal peaks in the range 2θ = 5–70°, low angle first:
26.25°, intensity 96
30.57°, intensity 58
32.58°, intensity 79
41.71°, intensity 58
42.75°, intensity 52
43.20°, intensity 69
45.69°, intensity 54
46.20°, intensity 100